For Er3Ga2Ni2, a structure optimized by DFT (PBE) gives the simulated X-ray diffraction stick pattern in this record (Cu Kα (λ = 1.5418 Å)).
Lines closer than 0.1° are merged.

Largest 10 diffraction maxima, sorted by position, 10° ≤ 2θ ≤ 80°:
2θ = 28.8°, rel. 38
2θ = 30.9°, rel. 53
2θ = 34.3°, rel. 77
2θ = 34.9°, rel. 79
2θ = 35.1°, rel. 59
2θ = 36.1°, rel. 54
2θ = 38.3°, rel. 100
2θ = 40.9°, rel. 94
2θ = 42.1°, rel. 41
2θ = 60.2°, rel. 29

Cell and atoms:
```
28
Lattice="5.439 0.000 0.000 0.000 7.829 0.000 0.000 0.000 12.889" Properties=species:S:1:pos:R:3 pbc="T T T"
Er 0.765 1.905 3.222
Er 0.765 2.009 9.667
Er 1.894 4.708 1.286
Er 1.894 4.708 5.159
Er 1.894 7.035 7.731
Er 1.894 7.035 11.604
Er 3.544 0.794 1.286
Er 3.544 0.794 5.159
Er 3.544 3.120 7.731
Er 3.544 3.120 11.604
Er 4.674 5.819 3.222
Er 4.674 5.924 9.667
Ga 0.822 1.957 0.000
Ga 0.822 1.957 6.445
Ga 1.937 4.755 9.667
Ga 1.937 6.988 3.222
Ga 3.501 0.841 9.667
Ga 3.501 3.073 3.222
Ga 4.617 5.871 0.000
Ga 4.617 5.871 6.445
Ni 0.694 4.194 7.608
Ni 0.694 4.194 11.726
Ni 0.694 7.549 1.164
Ni 0.694 7.549 5.281
Ni 4.745 0.279 7.608
Ni 4.745 0.279 11.726
Ni 4.745 3.635 1.164
Ni 4.745 3.635 5.281
```

***

For AcCoSi2Ru, a structure optimized by DFT (PBE) gives the simulated X-ray diffraction stick pattern in this record (Cu Kα (λ = 1.5418 Å)).
Lines closer than 0.1° are merged.

Largest 10 diffraction maxima, sorted by position, 10° ≤ 2θ ≤ 80°:
2θ = 23.1°, rel. 72
2θ = 33.3°, rel. 63
2θ = 33.7°, rel. 23
2θ = 35.0°, rel. 100
2θ = 43.8°, rel. 38
2θ = 50.1°, rel. 20
2θ = 56.1°, rel. 29
2θ = 56.4°, rel. 21
2θ = 61.1°, rel. 26
2θ = 74.8°, rel. 22

Cell and atoms:
```
10
Lattice="4.132 0.000 0.000 0.000 4.132 0.000 0.000 0.000 10.649" Properties=species:S:1:pos:R:3 pbc="T T T"
Ac 0.000 0.000 0.000
Ac 2.066 2.066 5.324
Co 0.000 2.066 2.662
Co 2.066 0.000 7.986
Si 0.000 0.000 3.787
Si 0.000 0.000 6.861
Si 2.066 2.066 1.537
Si 2.066 2.066 9.112
Ru 0.000 2.066 7.986
Ru 2.066 0.000 2.662
```

***

For LiCaBO3, a structure optimized by DFT (PBE) gives the simulated X-ray diffraction stick pattern in this record (Cu Kα (λ = 1.5418 Å)).
Lines closer than 0.1° are merged.

Largest 10 diffraction maxima, sorted by position, 10° ≤ 2θ ≤ 80°:
2θ = 13.3°, rel. 39
2θ = 28.5°, rel. 100
2θ = 29.1°, rel. 91
2θ = 33.8°, rel. 98
2θ = 40.7°, rel. 75
2θ = 41.2°, rel. 97
2θ = 48.0°, rel. 41
2θ = 48.8°, rel. 44
2θ = 53.9°, rel. 52
2θ = 54.7°, rel. 54

Cell and atoms:
```
48
Lattice="6.132 0.000 0.000 0.000 13.312 0.000 0.000 0.000 6.266" Properties=species:S:1:pos:R:3 pbc="T T T"
Li 0.112 3.296 1.271
Li 0.112 3.360 4.404
Li 2.954 9.952 1.271
Li 2.954 10.016 4.404
Li 3.178 3.296 1.862
Li 3.178 3.360 4.995
Li 6.020 9.952 1.862
Li 6.020 10.016 4.995
Ca 1.536 0.936 3.054
Ca 1.536 5.720 6.187
Ca 1.530 7.592 3.054
Ca 1.530 12.376 6.187
Ca 4.602 0.936 0.079
Ca 4.602 5.720 3.212
Ca 4.596 7.592 0.079
Ca 4.596 12.376 3.212
B 1.525 1.964 6.128
B 1.525 4.692 2.995
B 1.541 8.620 6.128
B 1.541 11.348 2.995
B 4.591 1.964 3.271
B 4.591 4.692 0.138
B 4.607 8.620 3.271
B 4.607 11.348 0.138
O 0.616 7.917 5.357
O 0.616 12.051 2.224
O 0.725 1.267 0.770
O 0.725 5.389 3.903
O 1.402 3.321 2.856
O 1.402 3.335 5.989
O 1.664 9.977 2.856
O 1.664 9.991 5.989
O 2.341 7.923 0.770
O 2.341 12.045 3.903
O 2.450 1.261 5.357
O 2.450 5.395 2.224
O 3.682 7.917 4.042
O 3.682 12.051 0.909
O 3.791 1.267 2.363
O 3.791 5.389 5.496
O 4.468 3.321 0.277
O 4.468 3.335 3.410
O 4.730 9.977 0.277
O 4.730 9.991 3.410
O 5.407 7.923 2.363
O 5.407 12.045 5.496
O 5.516 1.261 4.042
O 5.516 5.395 0.909
```

***

For La4TlI4, a structure optimized by DFT (PBE) gives the simulated X-ray diffraction stick pattern in this record (Cu Kα (λ = 1.5418 Å)).
Lines closer than 0.1° are merged.

Largest 10 diffraction maxima, sorted by position, 10° ≤ 2θ ≤ 80°:
2θ = 18.2°, rel. 10
2θ = 31.5°, rel. 100
2θ = 32.1°, rel. 91
2θ = 45.6°, rel. 34
2θ = 56.1°, rel. 19
2θ = 56.5°, rel. 36
2θ = 57.6°, rel. 15
2θ = 65.8°, rel. 12
2θ = 75.1°, rel. 16
2θ = 76.1°, rel. 13

Cell and atoms:
```
9
Lattice="2.839 1.639 11.279 -2.839 1.639 11.279 0.000 -3.278 11.279" Properties=species:S:1:pos:R:3 pbc="T T T"
La 0.000 0.000 3.237
La 0.000 0.000 10.282
La 0.000 0.000 23.554
La 0.000 0.000 30.599
Tl 0.000 0.000 0.000
I 0.000 0.000 6.854
I 0.000 0.000 13.654
I 0.000 0.000 20.182
I 0.000 0.000 26.981
```

***

For NdTlO4, a structure optimized by DFT (PBE) gives the simulated X-ray diffraction stick pattern in this record (Cu Kα (λ = 1.5418 Å)).
Lines closer than 0.1° are merged.

Largest 10 diffraction maxima, sorted by position, 10° ≤ 2θ ≤ 80°:
2θ = 25.2°, rel. 29
2θ = 26.7°, rel. 26
2θ = 27.5°, rel. 52
2θ = 27.8°, rel. 23
2θ = 29.6°, rel. 100
2θ = 29.7°, rel. 38
2θ = 30.6°, rel. 40
2θ = 45.4°, rel. 36
2θ = 49.3°, rel. 28
2θ = 51.2°, rel. 23

Cell and atoms:
```
12
Lattice="7.089 0.000 0.000 0.000 3.783 0.000 -0.527 0.000 6.495" Properties=species:S:1:pos:R:3 pbc="T T T"
Nd 0.000 0.000 0.000
Nd 3.545 1.892 0.000
Tl 0.755 1.892 3.490
Tl 4.299 0.000 3.490
O 0.754 1.892 5.939
O 1.458 0.000 2.036
O 2.829 0.000 1.521
O 3.007 1.892 4.044
O 4.299 0.000 5.939
O 5.003 1.892 2.036
O 6.374 1.892 1.521
O 6.552 0.000 4.044
```

***

For Pd4PtPb10, a structure optimized by DFT (PBE) gives the simulated X-ray diffraction stick pattern in this record (Cu Kα (λ = 1.5418 Å)).
Lines closer than 0.1° are merged.

Largest 10 diffraction maxima, sorted by position, 10° ≤ 2θ ≤ 80°:
2θ = 22.8°, rel. 21
2θ = 26.2°, rel. 67
2θ = 37.0°, rel. 100
2θ = 37.8°, rel. 94
2θ = 46.6°, rel. 15
2θ = 53.9°, rel. 34
2θ = 60.3°, rel. 14
2θ = 66.1°, rel. 19
2θ = 67.8°, rel. 35
2θ = 68.3°, rel. 17

Cell and atoms:
```
15
Lattice="2.379 1.373 20.067 -2.379 1.373 20.067 0.000 -2.747 20.067" Properties=species:S:1:pos:R:3 pbc="T T T"
Pd 0.000 0.000 6.024
Pd 0.000 0.000 18.056
Pd 0.000 0.000 42.145
Pd 0.000 0.000 54.177
Pt 0.000 0.000 30.101
Pb 0.000 0.000 3.035
Pb 0.000 0.000 8.996
Pb 0.000 0.000 15.080
Pb 0.000 0.000 21.039
Pb 0.000 0.000 27.107
Pb 0.000 0.000 33.095
Pb 0.000 0.000 39.163
Pb 0.000 0.000 45.122
Pb 0.000 0.000 51.205
Pb 0.000 0.000 57.166
```

***

For Ca2SbBr, a structure optimized by DFT (PBE) gives the simulated X-ray diffraction stick pattern in this record (Cu Kα (λ = 1.5418 Å)).
Lines closer than 0.1° are merged.

Largest 10 diffraction maxima, sorted by position, 10° ≤ 2θ ≤ 80°:
2θ = 17.3°, rel. 20
2θ = 23.6°, rel. 24
2θ = 24.2°, rel. 25
2θ = 26.8°, rel. 100
2θ = 29.5°, rel. 47
2θ = 37.2°, rel. 30
2θ = 39.0°, rel. 21
2θ = 40.2°, rel. 65
2θ = 49.7°, rel. 34
2θ = 68.0°, rel. 13

Cell and atoms:
```
8
Lattice="6.062 0.000 0.000 0.000 9.626 0.000 0.000 0.000 4.616" Properties=species:S:1:pos:R:3 pbc="T T T"
Ca 0.000 0.686 0.000
Ca 0.000 6.148 0.002
Ca 3.031 3.478 2.309
Ca 3.031 8.941 2.308
Sb 0.000 8.188 2.309
Sb 3.031 1.438 0.001
Br 0.000 3.997 2.314
Br 3.031 5.629 0.006
```

***

For Ca3Ni5Sn6, a structure optimized by DFT (PBE) gives the simulated X-ray diffraction stick pattern in this record (Cu Kα (λ = 1.5418 Å)).
Lines closer than 0.1° are merged.

Largest 10 diffraction maxima, sorted by position, 10° ≤ 2θ ≤ 80°:
2θ = 18.2°, rel. 63
2θ = 22.0°, rel. 32
2θ = 30.3°, rel. 47
2θ = 34.3°, rel. 34
2θ = 34.4°, rel. 100
2θ = 37.2°, rel. 60
2θ = 40.3°, rel. 44
2θ = 40.7°, rel. 46
2θ = 41.9°, rel. 81
2θ = 44.3°, rel. 33

Cell and atoms:
```
28
Lattice="4.317 0.000 0.000 0.000 13.305 0.000 0.000 0.000 9.728" Properties=species:S:1:pos:R:3 pbc="T T T"
Ca 1.079 0.623 2.436
Ca 1.079 6.030 2.436
Ca 1.079 9.979 2.297
Ca 3.237 3.326 7.430
Ca 3.237 7.275 7.292
Ca 3.237 12.682 7.292
Ni 1.079 1.239 6.165
Ni 1.079 5.413 6.165
Ni 1.079 8.517 9.299
Ni 1.079 9.979 6.911
Ni 1.079 11.441 9.299
Ni 3.237 1.864 0.428
Ni 3.237 3.326 2.817
Ni 3.237 4.788 0.428
Ni 3.237 7.892 3.563
Ni 3.237 12.066 3.563
Sn 1.079 0.982 8.818
Sn 1.079 3.326 1.018
Sn 1.079 3.326 4.546
Sn 1.079 5.671 8.818
Sn 1.079 7.862 5.038
Sn 1.079 12.095 5.038
Sn 3.237 1.210 4.690
Sn 3.237 5.443 4.690
Sn 3.237 7.634 0.910
Sn 3.237 9.979 5.182
Sn 3.237 9.979 8.710
Sn 3.237 12.323 0.910
```

***

For Ni3Pd4, a structure optimized by DFT (PBE) gives the simulated X-ray diffraction stick pattern in this record (Cu Kα (λ = 1.5418 Å)).
Lines closer than 0.1° are merged.

Largest 10 diffraction maxima, sorted by position, 10° ≤ 2θ ≤ 80°:
2θ = 24.0°, rel. 2
2θ = 26.1°, rel. 5
2θ = 29.9°, rel. 2
2θ = 41.2°, rel. 100
2θ = 47.2°, rel. 17
2θ = 47.8°, rel. 16
2θ = 48.8°, rel. 15
2θ = 69.4°, rel. 10
2θ = 70.2°, rel. 10
2θ = 70.7°, rel. 9

Cell and atoms:
```
14
Lattice="8.598 0.000 0.000 0.000 3.731 0.000 -0.804 0.000 5.967" Properties=species:S:1:pos:R:3 pbc="T T T"
Ni 0.000 0.000 0.000
Ni 0.879 0.000 2.562
Ni 2.616 1.866 3.405
Ni 4.299 1.866 0.000
Ni 5.178 1.866 2.562
Ni 6.915 0.000 3.405
Pd 0.060 1.866 4.229
Pd 1.675 1.866 0.897
Pd 1.820 0.000 5.070
Pd 3.435 0.000 1.738
Pd 4.359 0.000 4.229
Pd 5.974 0.000 0.897
Pd 6.119 1.866 5.070
Pd 7.734 1.866 1.738
```

***

What did the first record say?
For Er3Ga2Ni2, a structure optimized by DFT (PBE) gives the simulated X-ray diffraction stick pattern in this record (Cu Kα (λ = 1.5418 Å)).
Lines closer than 0.1° are merged.

Largest 10 diffraction maxima, sorted by position, 10° ≤ 2θ ≤ 80°:
2θ = 28.8°, rel. 38
2θ = 30.9°, rel. 53
2θ = 34.3°, rel. 77
2θ = 34.9°, rel. 79
2θ = 35.1°, rel. 59
2θ = 36.1°, rel. 54
2θ = 38.3°, rel. 100
2θ = 40.9°, rel. 94
2θ = 42.1°, rel. 41
2θ = 60.2°, rel. 29

Cell and atoms:
```
28
Lattice="5.439 0.000 0.000 0.000 7.829 0.000 0.000 0.000 12.889" Properties=species:S:1:pos:R:3 pbc="T T T"
Er 0.765 1.905 3.222
Er 0.765 2.009 9.667
Er 1.894 4.708 1.286
Er 1.894 4.708 5.159
Er 1.894 7.035 7.731
Er 1.894 7.035 11.604
Er 3.544 0.794 1.286
Er 3.544 0.794 5.159
Er 3.544 3.120 7.731
Er 3.544 3.120 11.604
Er 4.674 5.819 3.222
Er 4.674 5.924 9.667
Ga 0.822 1.957 0.000
Ga 0.822 1.957 6.445
Ga 1.937 4.755 9.667
Ga 1.937 6.988 3.222
Ga 3.501 0.841 9.667
Ga 3.501 3.073 3.222
Ga 4.617 5.871 0.000
Ga 4.617 5.871 6.445
Ni 0.694 4.194 7.608
Ni 0.694 4.194 11.726
Ni 0.694 7.549 1.164
Ni 0.694 7.549 5.281
Ni 4.745 0.279 7.608
Ni 4.745 0.279 11.726
Ni 4.745 3.635 1.164
Ni 4.745 3.635 5.281
```